(1)
The following is a calculated powder diffraction line list of Ba2Si3Au5. It was derived from a DFT-relaxed cell (PBE, Alexandria), using Cu Ka.

Peak list (12 most intense, 15 to 90 degrees two-theta, by intensity)
2θ 32.05, I = 100
2θ 38.84, I = 49
2θ 66.09, I = 25
2θ 25.47, I = 18
2θ 37.33, I = 18
2θ 43.79, I = 18
2θ 56.10, I = 17
2θ 31.74, I = 15
2θ 46.92, I = 15
2θ 62.50, I = 14
2θ 20.89, I = 10
2θ 73.76, I = 8

Unit cell a=4.637 b=4.637 c=10.655 alpha=90.00 beta=90.00 gamma=90.00
Element x y z (fractional)
Ba  0.000  0.500  0.248
Ba  0.500  0.000  0.752
Si  0.000  0.500  0.611
Si  0.500  0.000  0.389
Si  0.500  0.500  0.500
Au  0.000  0.000  0.000
Au  0.000  0.000  0.500
Au  0.000  0.500  0.840
Au  0.500  0.000  0.160
Au  0.500  0.500  0.000



(2)
The following is a calculated powder diffraction line list of ZrBi2PdO6. It was derived from a DFT-relaxed cell (PBE, Alexandria), using Cu Ka.

Peak list (12 most intense, 15 to 90 degrees two-theta, by intensity)
2θ 28.19, I = 100
2θ 30.65, I = 95
2θ 31.69, I = 32
2θ 48.37, I = 28
2θ 35.01, I = 27
2θ 47.94, I = 26
2θ 35.56, I = 25
2θ 23.64, I = 23
2θ 17.30, I = 18
2θ 54.33, I = 15
2θ 36.33, I = 14
2θ 47.58, I = 14

Unit cell a=6.168 b=6.168 c=5.082 alpha=108.43 beta=108.43 gamma=54.48
Element x y z (fractional)
Zr  0.000  0.000  0.000
Bi  0.198  0.324  0.777
Bi  0.676  0.802  0.223
Pd  0.491  0.509  0.500
O  0.160  0.662  0.196
O  0.240  0.123  0.315
O  0.338  0.840  0.804
O  0.655  0.172  0.190
O  0.828  0.345  0.810
O  0.877  0.760  0.685



(3)
The following is a calculated powder diffraction line list of BaNaZnSe2. It was derived from a DFT-relaxed cell (PBE, Alexandria), using Cu Ka.

Peak list (12 most intense, 15 to 90 degrees two-theta, by intensity)
2θ 25.00, I = 100
2θ 22.75, I = 48
2θ 28.92, I = 39
2θ 39.53, I = 31
2θ 37.61, I = 29
2θ 33.24, I = 22
2θ 37.84, I = 22
2θ 37.73, I = 21
2θ 46.60, I = 19
2θ 32.42, I = 18
2θ 51.31, I = 17
2θ 29.55, I = 16

Unit cell a=7.726 b=5.024 c=8.262 alpha=90.00 beta=101.51 gamma=90.00
Element x y z (fractional)
Ba  0.000  0.202  0.250
Ba  0.000  0.798  0.750
Na  0.500  0.480  0.750
Na  0.500  0.520  0.250
Zn  0.500  0.000  0.000
Zn  0.500  0.000  0.500
Se  0.235  0.299  0.963
Se  0.235  0.701  0.463
Se  0.765  0.299  0.537
Se  0.765  0.701  0.037



(4)
The following is a calculated powder diffraction line list of LiLuSn. It was derived from a DFT-relaxed cell (PBE, Alexandria), using Cu Ka.

Peak list (12 most intense, 15 to 90 degrees two-theta, by intensity)
2θ 33.72, I = 100
2θ 38.77, I = 54
2θ 25.47, I = 38
2θ 22.10, I = 31
2θ 52.31, I = 28
2θ 66.98, I = 25
2θ 66.39, I = 22
2θ 70.19, I = 9
2θ 44.50, I = 9
2θ 51.62, I = 9
2θ 46.96, I = 8
2θ 85.79, I = 7

Unit cell a=9.290 b=9.290 c=7.083 alpha=90.00 beta=90.00 gamma=120.00
Element x y z (fractional)
Li  0.167  0.333  0.000
Li  0.167  0.833  0.000
Li  0.333  0.167  0.500
Li  0.333  0.667  0.397
Li  0.667  0.333  0.897
Li  0.667  0.833  0.000
Li  0.833  0.167  0.500
Li  0.833  0.667  0.500
Lu  0.000  0.000  0.214
Lu  0.000  0.000  0.714
Lu  0.021  0.511  0.709
Lu  0.489  0.511  0.709
Lu  0.489  0.979  0.709
Lu  0.511  0.021  0.209
Lu  0.511  0.489  0.209
Lu  0.979  0.489  0.209
Sn  0.167  0.333  0.447
Sn  0.167  0.833  0.447
Sn  0.333  0.167  0.947
Sn  0.333  0.667  0.974
Sn  0.667  0.333  0.474
Sn  0.667  0.833  0.447
Sn  0.833  0.167  0.947
Sn  0.833  0.667  0.947